# 1
Simulated powder XRD pattern of SrCoP2O7 for Cu Kα (λ = 1.5418 Å), from a crystal structure in the Materials Project, relaxed with GGA+U.
No peak broadening, texture or thermal motion is included.

The 10 most intense peaks (2θ from 10° to 80°), low angle first:
two_theta, Rel. int.
12.6, 32.5
26.4, 100.0
27.0, 67.1
27.9, 33.5
28.7, 60.2
30.5, 40.9
33.0, 40.6
33.3, 49.6
43.4, 45.7
45.2, 38.5

Structure:
Unit cell a=5.3875 b=8.3414 c=13.9631 alpha=90.00 beta=112.41 gamma=90.00
Space group P2_1/c (No. 14)
Symmetry-distinct sites (fractional):
Sr (0.0090, 0.1639, 0.2221) [4 per cell]
Co (0.2860, 0.6501, 0.6047) [4 per cell]
P (0.3322, 0.2002, 0.0203) [4 per cell]
P (0.4194, 0.0347, 0.6678) [4 per cell]
O (0.1105, 0.1893, 0.9117) [4 per cell]
O (0.1966, 0.0583, 0.7084) [4 per cell]
O (0.2671, 0.0969, 0.0998) [4 per cell]
O (0.3162, 0.6177, 0.7638) [4 per cell]
O (0.3201, 0.1142, 0.5534) [4 per cell]
O (0.3812, 0.6685, 0.4740) [4 per cell]
O (0.4793, 0.6408, 0.1533) [4 per cell]


# 2
Simulated powder XRD pattern of SrCo2P2O8 for Cu Kα (λ = 1.5418 Å), from a crystal structure in the Materials Project, relaxed with GGA+U.
No peak broadening, texture or thermal motion is included.

The 10 most intense peaks (2θ from 10° to 80°), low angle first:
two_theta, Rel. int.
22.5, 100.0
22.9, 41.3
23.8, 43.8
28.5, 33.7
28.9, 69.3
29.3, 52.5
32.7, 30.4
35.4, 48.7
41.7, 41.9
42.4, 34.4

Structure:
Unit cell a=5.0749 b=8.7405 c=9.4255 alpha=113.89 beta=102.83 gamma=92.95
Space group P-1 (No. 2)
Symmetry-distinct sites (fractional):
Sr (0.2236, 0.2360, 0.0506) [2 per cell]
Co (0.1531, 0.4109, 0.6985) [2 per cell]
Co (0.3876, 0.1082, 0.4135) [2 per cell]
P (0.1090, 0.7804, 0.6937) [2 per cell]
P (0.3131, 0.7110, 0.1918) [2 per cell]
O (0.0015, 0.3326, 0.8358) [2 per cell]
O (0.0163, 0.6195, 0.7122) [2 per cell]
O (0.0361, 0.9342, 0.8244) [2 per cell]
O (0.0727, 0.2309, 0.4717) [2 per cell]
O (0.3612, 0.7572, 0.0594) [2 per cell]
O (0.4168, 0.7939, 0.6980) [2 per cell]
O (0.4273, 0.8685, 0.3617) [2 per cell]
O (0.4488, 0.5603, 0.2058) [2 per cell]


# 3
Simulated powder XRD pattern of SrCo3P4O14 for Cu Kα (λ = 1.5418 Å), from a crystal structure in the Materials Project, relaxed with GGA+U.
No peak broadening, texture or thermal motion is included.

The 10 most intense peaks (2θ from 10° to 80°), low angle first:
two_theta, Rel. int.
19.9, 35.0
22.8, 31.4
26.2, 58.5
28.2, 49.0
29.7, 100.0
30.2, 36.0
32.8, 55.1
33.4, 42.2
35.9, 44.9
36.1, 32.6

Structure:
Unit cell a=7.5614 b=7.8085 c=9.6146 alpha=90.00 beta=111.97 gamma=90.00
Space group P2_1/c (No. 14)
Symmetry-distinct sites (fractional):
Sr (0.0000, 0.0000, 0.0000) [2 per cell]
Co (0.3139, 0.1249, 0.4724) [4 per cell]
Co (0.5000, 0.0000, 0.0000) [2 per cell]
P (0.1039, 0.0577, 0.7017) [4 per cell]
P (0.3878, 0.7040, 0.1939) [4 per cell]
O (0.0980, 0.5177, 0.8066) [4 per cell]
O (0.1234, 0.1799, 0.5846) [4 per cell]
O (0.1824, 0.6284, 0.1775) [4 per cell]
O (0.2285, 0.1153, 0.8646) [4 per cell]
O (0.3429, 0.6241, 0.6124) [4 per cell]
O (0.4734, 0.5777, 0.1134) [4 per cell]
O (0.4978, 0.7116, 0.3648) [4 per cell]


# 4
Simulated powder XRD pattern of SrZnCoP2O8 for Cu Kα (λ = 1.5418 Å), from a crystal structure in the Materials Project, relaxed with GGA+U.
No peak broadening, texture or thermal motion is included.

The 10 most intense peaks (2θ from 10° to 80°), low angle first:
two_theta, Rel. int.
10.5, 21.0
27.7, 100.0
29.2, 26.9
30.5, 61.9
31.6, 45.2
32.9, 45.4
33.3, 39.0
33.9, 25.6
46.1, 21.5
50.2, 16.9

Structure:
Unit cell a=5.5043 b=6.9931 c=9.4114 alpha=110.65 beta=102.08 gamma=98.02
Space group P-1 (No. 2)
Symmetry-distinct sites (fractional):
Sr (0.2484, 0.2993, 0.0505) [2 per cell]
Zn (0.0079, 0.1201, 0.3544) [2 per cell]
Co (0.3686, 0.6520, 0.4406) [2 per cell]
P (0.1573, 0.4774, 0.6991) [2 per cell]
P (0.3947, 0.9237, 0.2340) [2 per cell]
O (0.0009, 0.2499, 0.5797) [2 per cell]
O (0.0481, 0.3847, 0.3032) [2 per cell]
O (0.1905, 0.9443, 0.1039) [2 per cell]
O (0.2618, 0.4965, 0.8678) [2 per cell]
O (0.3345, 0.0257, 0.7891) [2 per cell]
O (0.3412, 0.7025, 0.2367) [2 per cell]
O (0.3720, 0.0893, 0.3946) [2 per cell]
O (0.3777, 0.5500, 0.6344) [2 per cell]


# 5
Simulated powder XRD pattern of Ti3Co2TeP6O24 for Cu Kα (λ = 1.5418 Å), from a crystal structure in the Materials Project, relaxed with GGA+U.
No peak broadening, texture or thermal motion is included.

The 10 most intense peaks (2θ from 10° to 80°), low angle first:
two_theta, Rel. int.
20.2, 100.0
20.5, 19.1
23.9, 97.7
24.9, 17.3
32.7, 74.5
35.3, 42.7
46.8, 34.5
48.9, 27.3
55.3, 27.5
61.8, 19.5

Structure:
Unit cell a=8.7971 b=8.7971 c=21.0153 alpha=90.00 beta=90.00 gamma=120.00
Space group R3 (No. 146, hexagonal axes)
Symmetry-distinct sites (fractional):
Ti (0.0000, 0.0000, 0.0000) [3 per cell]
Ti (0.0000, 0.0000, 0.2166) [3 per cell]
Ti (0.0000, 0.0000, 0.4996) [3 per cell]
Co (0.0000, 0.0000, 0.3635) [3 per cell]
Co (0.0000, 0.0000, 0.8680) [3 per cell]
Te (0.0000, 0.0000, 0.7165) [3 per cell]
P (0.0054, 0.7151, 0.1100) [9 per cell]
P (0.0359, 0.3674, 0.2736) [9 per cell]
O (0.0121, 0.1803, 0.2775) [9 per cell]
O (0.0166, 0.8244, 0.1688) [9 per cell]
O (0.0246, 0.8276, 0.7874) [9 per cell]
O (0.1235, 0.4540, 0.3377) [9 per cell]
O (0.1454, 0.4774, 0.2168) [9 per cell]
O (0.1446, 0.6711, 0.7154) [9 per cell]
O (0.1654, 0.4822, 0.6030) [9 per cell]
O (0.1693, 0.6920, 0.1043) [9 per cell]